Simulated PXRD pattern
Compound: Pm2Al4CuAg3
Radiation: CuKα
Structure: a PBE-relaxed structure
Neutral-atom scattering factors, no anomalous dispersion.

Structure:
Cell: 4.346 4.346 10.703 Å, 90.00 90.00 90.00°
Space group P-4m2 (No. 115)
Asymmetric unit:
Pm: 0.000 0.500 0.242 [2 per cell]
Al: 0.000 0.000 0.500 [1 per cell]
Al: 0.000 0.500 0.874 [2 per cell]
Al: 0.500 0.500 0.500 [1 per cell]
Cu: 0.500 0.500 0.000 [1 per cell]
Ag: 0.000 0.000 0.000 [1 per cell]
Ag: 0.000 0.500 0.637 [2 per cell]

Peak list (6 most intense, 2θ from 10° to 90°, by intensity)
- 2θ 33.63, 2.665 Å, intensity 100, hkl 1 1 2
- 2θ 32.47, 2.758 Å, intensity 70, hkl 1 0 3
- 2θ 41.56, 2.173 Å, intensity 57, hkl 2 0 0
- 2θ 47.34, 1.920 Å, intensity 34, hkl 1 0 5
- 2θ 53.70, 1.707 Å, intensity 33, hkl 2 1 3
- 2θ 29.06, 3.073 Å, intensity 26, hkl 1 1 0